Computed powder diffractogram
Compound: TbMoO3
Radiation: a wavelength of 1.5418 Å
Structure: a crystal structure in Alexandria, relaxed with PBE+U

The 10 most intense peaks (2θ = 10–80°), sorted by position:
d_spacing  two_theta  I (rel.)
4.650  19.1  47.3
3.291  27.1  57.0
2.844  31.5  23.5
2.829  31.6  100.0
2.689  33.3  19.5
2.006  45.2  53.3
1.954  46.5  18.7
1.798  50.8  30.7
1.639  56.1  12.3
1.578  58.5  13.2

```
TbMoO3
1.0
1.6636 -8.0709 0.0000
1.6636 8.0709 0.0000
0.0000 0.0000 5.6883
Tb Mo O
2 2 6
direct
0.1837 0.8163 0.5000
0.8163 0.1837 0.0000
0.4878 0.5122 0.5472
0.5122 0.4878 0.0472
0.0410 0.9590 0.7804
0.2734 0.7266 0.2181
0.4029 0.5971 0.8359
0.5971 0.4029 0.3359
0.7266 0.2734 0.7181
0.9590 0.0410 0.2804
```